Starting from DFT lattice parameters and positions (GGA-PBE), the powder XRD pattern of Cs2NpAuI6 was computed for Cu Kα.
No peak broadening, texture or thermal motion is included.

Peak list (10 most intense, 10 to 80 degrees two-theta, sorted by position)
two_theta  I/Imax  index
11.86  674  1 0 0
20.61  234  1 1 0
27.03  1000  2 0 1
28.00  241  0 1 2
31.72  184  2 1 0
35.02  573  0 2 2
41.93  410  2 2 0
45.63  236  0 2 3
50.60  173  0 4 1
68.83  188  2 2 4

Crystal structure
```
data_Cs2NpAuI6
_chemical_formula_sum 'Cs2 Np1 Au1 I6'
_space_group_name_H-M_alt 'P -3 m 1'
_space_group_IT_number 164
_space_group_name_Hall '-P 3 2"'
_cell_length_a 8.6187
_cell_length_b 8.6187
_cell_length_c 7.0481
_cell_angle_alpha 90.00
_cell_angle_beta 90.00
_cell_angle_gamma 120.00
loop_
_atom_site_label
_atom_site_type_symbol
_atom_site_fract_x
_atom_site_fract_y
_atom_site_fract_z
Cs1 Cs 0.3333 0.6667 0.2466
Np1 Np 0.0000 0.0000 0.0000
Au1 Au 0.0000 0.0000 0.5000
I1 I 0.1703 0.3406 0.7478
```